Entry 1:
Diffraction record for TlInCl3. The XRD peak list is simulated, not measured: it uses a cell relaxed with GGA-PBE and Cu Kα, 1.54184 Å.
No peak broadening, texture or thermal motion is included.

Structure:
```
data_TlInCl3
_chemical_formula_sum 'Tl2 In2 Cl6'
_space_group_name_H-M_alt 'P 1'
_space_group_IT_number 1
_space_group_name_Hall 'P 1'
_cell_length_a 7.690
_cell_length_b 7.754
_cell_length_c 8.030
_cell_angle_alpha 62.57
_cell_angle_beta 62.14
_cell_angle_gamma 60.83
loop_
_atom_site_label
_atom_site_type_symbol
_atom_site_fract_x
_atom_site_fract_y
_atom_site_fract_z
_atom_site_occupancy
Tl1 Tl 0.000 0.000 0.000 1
Tl2 Tl 0.498 0.495 0.509 1
In1 In 0.195 0.178 0.405 1
In2 In 0.703 0.689 0.885 1
Cl1 Cl 0.417 0.931 0.195 1
Cl2 Cl 0.417 0.945 0.646 1
Cl3 Cl 0.425 0.399 0.205 1
Cl4 Cl 0.946 0.397 0.199 1
Cl5 Cl 0.960 0.401 0.646 1
Cl6 Cl 0.966 0.946 0.647 1
```

Main lines, sorted by position (10 to 90 degrees two-theta):
15.82 deg, intensity 100, (1 1 0)
21.71 deg, intensity 66, (0 1 -1)
22.75 deg, intensity 78, (1 -1 0)
22.95 deg, intensity 76, (1 2 1)
23.14 deg, intensity 75, (2 1 1)
31.94 deg, intensity 86, (2 0 2)

Entry 2:
Diffraction record for Gd2MgS4. The XRD peak list is simulated, not measured: it uses a cell relaxed with GGA-PBE and Cu Kα, 1.54184 Å.
No peak broadening, texture or thermal motion is included.

Structure:
```
data_Gd2MgS4
_chemical_formula_sum 'Gd16 Mg8 S32'
_space_group_name_H-M_alt 'P c a 21'
_space_group_IT_number 29
_space_group_name_Hall 'P 2c -2ac'
_cell_length_a 12.818
_cell_length_b 7.709
_cell_length_c 12.932
_cell_angle_alpha 90.00
_cell_angle_beta 90.00
_cell_angle_gamma 90.00
loop_
_atom_site_label
_atom_site_type_symbol
_atom_site_fract_x
_atom_site_fract_y
_atom_site_fract_z
_atom_site_occupancy
Gd1 Gd 0.109 0.114 0.000 1
Gd2 Gd 0.126 0.615 0.641 1
Gd3 Gd 0.135 0.368 0.308 1
Gd4 Gd 0.135 0.869 0.307 1
Mg1 Mg 0.112 0.616 0.007 1
Mg2 Mg 0.126 0.120 0.636 1
S1 S 0.011 0.120 0.193 1
S2 S 0.024 0.625 0.184 1
S3 S 0.029 0.618 0.445 1
S4 S 0.046 0.124 0.453 1
S5 S 0.210 0.118 0.814 1
S6 S 0.211 0.618 0.835 1
S7 S 0.232 0.864 0.088 1
S8 S 0.235 0.362 0.091 1
```

Main lines, sorted by position (10 to 90 degrees two-theta):
19.26 deg, intensity 37, (2 1 1)
24.89 deg, intensity 100, (2 0 3)
27.84 deg, intensity 53, (4 0 0)
32.03 deg, intensity 71, (3 2 1)
34.26 deg, intensity 57, (3 2 2)
47.51 deg, intensity 38, (6 0 3)

Entry 3:
Diffraction record for Ba6MgSc2C2O6F14. The XRD peak list is simulated, not measured: it uses a cell relaxed with GGA-PBE and Cu Kα, 1.54184 Å.
No peak broadening, texture or thermal motion is included.

Structure:
```
data_Ba6MgSc2C2O6F14
_chemical_formula_sum 'Ba12 Mg2 Sc4 C4 O12 F28'
_space_group_name_H-M_alt 'C 1 m 1'
_space_group_IT_number 8
_space_group_name_Hall 'C -2y'
_cell_length_a 13.558
_cell_length_b 12.198
_cell_length_c 6.388
_cell_angle_alpha 90.00
_cell_angle_beta 93.32
_cell_angle_gamma 90.00
loop_
_atom_site_label
_atom_site_type_symbol
_atom_site_fract_x
_atom_site_fract_y
_atom_site_fract_z
_atom_site_occupancy
Ba1 Ba 0.000 0.000 0.000 1
Ba2 Ba 0.049 0.273 0.459 1
Ba3 Ba 0.305 0.247 0.952 1
Ba4 Ba 0.325 0.500 0.471 1
Mg1 Mg 0.181 0.000 0.635 1
Sc1 Sc 0.146 0.500 0.945 1
Sc2 Sc 0.245 0.000 0.190 1
C1 C 0.423 0.000 0.363 1
C2 C 0.450 0.000 0.910 1
O1 O 0.001 0.409 0.912 1
O2 O 0.011 0.500 0.444 1
O3 O 0.355 0.000 0.908 1
O4 O 0.375 0.092 0.319 1
F1 F 0.046 0.000 0.496 1
F2 F 0.158 0.135 0.171 1
F3 F 0.179 0.384 0.180 1
F4 F 0.184 0.388 0.715 1
F5 F 0.187 0.160 0.663 1
F6 F 0.305 0.500 0.963 1
F7 F 0.419 0.349 0.234 1
F8 F 0.426 0.345 0.717 1
```

Main lines, sorted by position (10 to 90 degrees two-theta):
23.64 deg, intensity 87, (2 2 -1)
24.55 deg, intensity 100, (2 2 1)
29.30 deg, intensity 39, (0 4 0)
39.79 deg, intensity 30, (4 4 0)
39.98 deg, intensity 41, (4 0 2)
40.95 deg, intensity 39, (0 4 2)

Entry 4:
Diffraction record for Tb2CuH4S2O12. The XRD peak list is simulated, not measured: it uses a cell relaxed with GGA-PBE and Cu Kα, 1.54184 Å.
No peak broadening, texture or thermal motion is included.

Structure:
```
data_Tb2CuH4S2O12
_chemical_formula_sum 'Tb4 Cu2 H8 S4 O24'
_space_group_name_H-M_alt 'P 1 21/c 1'
_space_group_IT_number 14
_space_group_name_Hall '-P 2ybc'
_cell_length_a 6.362
_cell_length_b 6.786
_cell_length_c 10.833
_cell_angle_alpha 90.00
_cell_angle_beta 97.91
_cell_angle_gamma 90.00
loop_
_atom_site_label
_atom_site_type_symbol
_atom_site_fract_x
_atom_site_fract_y
_atom_site_fract_z
_atom_site_occupancy
Tb1 Tb 0.079 0.007 0.319 1
Cu1 Cu 0.000 0.000 0.000 1
H1 H 0.237 0.717 0.618 1
H2 H 0.271 0.623 0.382 1
S1 S 0.360 0.170 0.629 1
O1 O 0.095 0.684 0.636 1
O2 O 0.119 0.660 0.371 1
O3 O 0.198 0.052 0.542 1
O4 O 0.250 0.192 0.744 1
O5 O 0.404 0.142 0.074 1
O6 O 0.448 0.548 0.839 1
```

Main lines, sorted by position (10 to 90 degrees two-theta):
14.05 deg, intensity 100, (1 0 0)
26.26 deg, intensity 27, (0 2 0)
28.20 deg, intensity 63, (0 1 3)
29.91 deg, intensity 39, (1 2 0)
33.19 deg, intensity 28, (1 1 3)
33.40 deg, intensity 28, (1 2 -2)

Entry 5:
Diffraction record for CaFe5As3. The XRD peak list is simulated, not measured: it uses a cell relaxed with GGA-PBE and Cu Kα, 1.54184 Å.
No peak broadening, texture or thermal motion is included.

Structure:
```
data_CaFe5As3
_chemical_formula_sum 'Ca2 Fe10 As6'
_space_group_name_H-M_alt 'P 1 21/m 1'
_space_group_IT_number 11
_space_group_name_Hall '-P 2yb'
_cell_length_a 7.272
_cell_length_b 3.814
_cell_length_c 9.468
_cell_angle_alpha 90.00
_cell_angle_beta 101.13
_cell_angle_gamma 90.00
loop_
_atom_site_label
_atom_site_type_symbol
_atom_site_fract_x
_atom_site_fract_y
_atom_site_fract_z
_atom_site_occupancy
Ca1 Ca 0.196 0.250 0.281 1
Fe1 Fe 0.077 0.250 0.581 1
Fe2 Fe 0.118 0.750 0.001 1
Fe3 Fe 0.316 0.750 0.794 1
Fe4 Fe 0.377 0.250 0.005 1
Fe5 Fe 0.466 0.250 0.580 1
As1 As 0.101 0.250 0.838 1
As2 As 0.256 0.750 0.527 1
As3 As 0.428 0.750 0.158 1
```

Main lines, sorted by position (10 to 90 degrees two-theta):
34.42 deg, intensity 31, (2 1 -1)
37.12 deg, intensity 100, (2 1 1)
42.07 deg, intensity 44, (2 1 -3)
47.68 deg, intensity 65, (0 2 0)
48.72 deg, intensity 95, (2 1 -4)
50.18 deg, intensity 35, (4 0 -1)

Entry 6:
Diffraction record for In3AsSe3. The XRD peak list is simulated, not measured: it uses a cell relaxed with GGA-PBE and Cu Kα, 1.54184 Å.
No peak broadening, texture or thermal motion is included.

Structure:
```
data_In3AsSe3
_chemical_formula_sum 'In6 As2 Se6'
_space_group_name_H-M_alt 'P m n 21'
_space_group_IT_number 31
_space_group_name_Hall 'P 2ac -2'
_cell_length_a 4.246
_cell_length_b 17.092
_cell_length_c 6.130
_cell_angle_alpha 90.00
_cell_angle_beta 90.00
_cell_angle_gamma 90.00
loop_
_atom_site_label
_atom_site_type_symbol
_atom_site_fract_x
_atom_site_fract_y
_atom_site_fract_z
_atom_site_occupancy
In1 In 0.000 0.063 0.000 1
In2 In 0.000 0.566 0.002 1
In3 In 0.000 0.806 0.007 1
As1 As 0.000 0.934 0.758 1
Se1 Se 0.000 0.196 0.775 1
Se2 Se 0.000 0.434 0.771 1
Se3 Se 0.000 0.687 0.754 1
```

Main lines, sorted by position (10 to 90 degrees two-theta):
25.41 deg, intensity 86, (0 4 1)
25.52 deg, intensity 100, (1 0 1)
42.06 deg, intensity 94, (1 4 2)
49.47 deg, intensity 29, (0 4 3)
50.06 deg, intensity 29, (1 8 1)
50.24 deg, intensity 27, (2 4 1)

Entry 7:
Diffraction record for Li3Tm. The XRD peak list is simulated, not measured: it uses a cell relaxed with GGA-PBE and Cu Kα, 1.54184 Å.
No peak broadening, texture or thermal motion is included.

Structure:
```
data_Li3Tm
_chemical_formula_sum 'Li6 Tm2'
_space_group_name_H-M_alt 'P 63/m m c'
_space_group_IT_number 194
_space_group_name_Hall '-P 6c 2c'
_cell_length_a 6.4746
_cell_length_b 6.4746
_cell_length_c 5.0154
_cell_angle_alpha 90.00
_cell_angle_beta 90.00
_cell_angle_gamma 120.00
loop_
_atom_site_label
_atom_site_type_symbol
_atom_site_fract_x
_atom_site_fract_y
_atom_site_fract_z
_atom_site_occupancy
Li1 Li 0.1540 0.3080 0.2500 1
Tm1 Tm 0.3333 0.6667 0.7500 1
```

Main lines, sorted by position (10 to 90 degrees two-theta):
15.81 deg, intensity 41, (1 0 0)
23.80 deg, intensity 100, (1 0 1)
27.55 deg, intensity 46, (1 1 0)
36.72 deg, intensity 41, (2 0 1)
45.77 deg, intensity 24, (1 1 2)
46.52 deg, intensity 33, (2 1 1)